Record 1
Simulated PXRD pattern
Compound: PNCl2
Radiation: Cu Kα, 1.54184 Å
Structure: DFT lattice parameters and positions (PBE)
Lines closer than 0.1° are merged.

Main lines, by angle (10 to 90 degrees two-theta):
2θ (°)  I (rel.)  hkl
11.0  50  1 1 0
16.0  99  1 0 1
22.0  52  2 2 0
22.4  21  1 2 1
24.7  100  1 3 0
26.2  23  2 2 1
27.4  30  3 0 1
28.5  49  3 1 1
33.3  28  2 1 2
40.3  20  5 1 0
50.1  28  1 3 3
50.8  22  6 1 1

Crystal structure
Cell: 11.4036 11.4036 6.3293 Å, 90.00 90.00 90.00°
Space group P4_2/n (No. 86, origin choice 2)
Asymmetric unit:
P  0.0814  0.2092  0.1929
N  0.1191  0.3424  0.1748
Cl  0.0560  0.1537  0.8933
Cl  0.0812  0.8005  0.6824

---

Record 2
Simulated PXRD pattern
Compound: P3N4Cl5
Radiation: Cu Kα, 1.54184 Å
Structure: DFT lattice parameters and positions (PBE)
Lines closer than 0.1° are merged.

Main lines, by angle (10 to 90 degrees two-theta):
2θ (°)  I (rel.)  hkl
11.8  33  0 1 -1
14.7  24  0 1 1
14.8  100  1 0 0
18.6  23  1 0 -2
19.1  48  1 -1 1
23.8  85  0 2 -2
24.5  33  0 0 3
24.5  73  0 2 1
24.7  74  1 0 -3
25.0  35  -1 2 1
32.0  31  2 1 -1
33.2  23  -2 2 1

Crystal structure
Cell: 6.3250 8.6484 11.5897 Å, 100.25 104.74 98.45°
Space group P-1 (No. 2)
Asymmetric unit:
P  0.0076  0.3434  0.2127
P  0.0613  0.9848  0.7995
P  0.0923  0.7744  0.5942
N  0.0106  0.8354  0.8589
N  0.0466  0.6280  0.6586
N  0.0994  0.9518  0.6668
N  0.1063  0.2650  0.5419
Cl  0.1818  0.8893  0.2034
Cl  0.1914  0.5479  0.8983
Cl  0.3135  0.4716  0.2338
Cl  0.3310  0.1409  0.9168
Cl  0.3744  0.7705  0.5432

---

Record 3
Simulated PXRD pattern
Compound: PNCl2
Radiation: Cu Kα, 1.54184 Å
Structure: DFT lattice parameters and positions (PBE)
Lines closer than 0.1° are merged.

Main lines, by angle (10 to 90 degrees two-theta):
2θ (°)  I (rel.)  hkl
12.0  18  2 0 0
12.9  14  0 2 0
14.8  69  1 0 1
18.1  25  2 0 1
19.7  16  1 2 1
22.8  100  2 3 0
24.2  15  4 0 0
26.6  24  2 3 1
27.8  33  4 0 1
34.2  15  1 3 2
38.4  15  3 3 2
44.0  16  6 3 1

Crystal structure
Cell: 14.7400 13.7505 6.5538 Å, 90.00 90.00 90.00°
Space group Pnma (No. 62)
Asymmetric unit:
P  0.0538  0.2500  0.0902
P  0.0945  0.6491  0.0620
N  0.0028  0.1501  0.0439
N  0.1448  0.7500  0.1034
Cl  0.0864  0.5752  0.3277
Cl  0.0941  0.2500  0.3836
Cl  0.1739  0.2500  0.9422
Cl  0.1779  0.5635  0.8980

---

Record 4
Simulated PXRD pattern
Compound: TaPNCl7
Radiation: Cu Kα, 1.54184 Å
Structure: DFT lattice parameters and positions (PBE)
Lines closer than 0.1° are merged.

Main lines, by angle (10 to 90 degrees two-theta):
2θ (°)  I (rel.)  hkl
13.3  34  1 0 0
14.1  14  0 1 2
15.1  100  1 1 -1
16.2  31  0 2 1
17.0  23  1 1 -2
17.7  21  1 1 1
20.6  14  1 1 -3
21.5  13  1 1 2
23.8  22  0 0 4
26.2  32  1 1 3
27.5  15  1 3 -2
31.9  18  2 2 -3

Crystal structure
Cell: 6.9036 11.7249 15.5250 Å, 90.00 105.65 90.00°
Space group P2_1/c (No. 14)
Asymmetric unit:
Ta  0.0203  0.0801  0.1197
P  0.3694  0.0705  0.3177
N  0.2267  0.1048  0.2257
Cl  0.0710  0.0995  0.8370
Cl  0.0758  0.2455  0.0438
Cl  0.2226  0.0084  0.4024
Cl  0.2401  0.5221  0.5412
Cl  0.2553  0.6647  0.3477
Cl  0.4324  0.0500  0.6905
Cl  0.4662  0.6993  0.1179

---

Record 5
Simulated PXRD pattern
Compound: Zn3P6N12Cl
Radiation: Cu Kα, 1.54184 Å
Structure: DFT lattice parameters and positions (PBE)
Lines closer than 0.1° are merged.

Main lines, by angle (10 to 90 degrees two-theta):
2θ (°)  I (rel.)  hkl
15.1  41  1 1 0
26.2  27  0 1 2
26.4  100  3 0 0
34.2  27  1 2 2
37.4  10  0 0 3
37.6  11  4 0 1
40.7  42  3 2 1
46.4  19  0 3 3
46.5  30  0 5 1
49.2  10  2 4 1
63.3  9  4 0 4
70.0  11  5 3 2

Crystal structure
Cell: 11.7054 11.7054 7.2092 Å, 90.00 90.00 120.00°
Space group R3m (No. 160, hexagonal axes)
Asymmetric unit:
Zn  0.2146  0.4291  0.0000
P  0.0865  0.4185  0.3797
N  0.0334  0.5167  0.4557
N  0.0568  0.3885  0.1556
N  0.1841  0.0921  0.7468
Cl  0.0000  0.0000  0.2393